Simulated powder XRD pattern of La2SmY12 for Cu Kα, from a DFT-relaxed cell (GGA-PBE, Alexandria).

Cell and atoms:
```
La2SmY12
1.0
3.5644 0.0000 0.0000
0.0000 5.7368 0.0000
0.0000 0.0000 25.0408
La Sm Y
2 1 12
Cartesian
0.0000 0.0000 5.7884
0.0000 0.0000 19.2523
0.0000 0.0000 12.5204
0.0000 2.8684 1.5392
0.0000 2.8684 10.5830
0.0000 2.8684 14.4578
0.0000 2.8684 23.5015
1.7822 0.0000 2.0983
1.7822 0.0000 9.3652
1.7822 0.0000 15.6756
1.7822 0.0000 22.9425
1.7822 2.8684 4.3043
1.7822 2.8684 7.5500
1.7822 2.8684 17.4908
1.7822 2.8684 20.7365
```

Most intense lines, 2θ from 5° to 70°, sorted by position:
2θ (°)  Rel. int.
28.82  42
29.43  73
30.37  87
31.18  100
31.43  36
32.59  78
32.86  76
36.67  49


Simulated powder XRD pattern of La7Sm2Y for Cu Kα, from a DFT-relaxed cell (GGA-PBE, Alexandria).

Cell and atoms:
```
La7Sm2Y
1.0
6.0917 -8.5824 0.0000
6.0917 8.5824 0.0000
0.0000 0.0000 3.5747
La Sm Y
7 2 1
Cartesian
0.0000 0.0000 0.0000
2.9962 2.2083 0.0000
6.0917 5.4818 1.7874
2.9962 -2.2083 0.0000
9.1873 2.2083 0.0000
6.0917 -5.4818 1.7874
9.1873 -2.2083 0.0000
6.0917 2.8792 0.0000
6.0917 -2.8792 0.0000
6.0917 0.0000 1.7874
```

Most intense lines, 2θ from 5° to 70°, sorted by position:
2θ (°)  Rel. int.
20.70  27
24.91  26
25.39  44
29.32  81
30.38  100
31.27  27
34.64  27
37.00  68